Structure and simulated X-ray diffraction stick pattern of SmHo4Sc2 (DFT lattice parameters and positions (PBE); Cu Kα (λ = 1.5418 Å)).

Crystal structure
abc: 6.980 7.839 7.842
angles: 90.00 90.10 90.00
Fractional coordinates of all 14 atoms:
Sm (0.000, 0.000, 0.000)
Sm (0.000, 0.500, 0.500)
Ho (0.256, 0.222, 0.721)
Ho (0.256, 0.778, 0.721)
Ho (0.257, 0.222, 0.278)
Ho (0.257, 0.778, 0.278)
Ho (0.743, 0.222, 0.722)
Ho (0.743, 0.778, 0.722)
Ho (0.744, 0.222, 0.279)
Ho (0.744, 0.778, 0.279)
Sc (0.000, 0.500, 0.000)
Sc (0.500, 0.000, 0.000)
Sc (0.500, 0.500, 0.000)
Sc (0.500, 0.500, 0.500)

Top 10 peaks for 2θ from 5° to 70°, low angle first:
22.7°, 3.920 Å, I = 36; 25.5°, 3.490 Å, I = 17; 32.3°, 2.772 Å, I = 73; 34.4°, 2.610 Å, I = 47; 34.4°, 2.606 Å, I = 100; 41.6°, 2.173 Å, I = 14; 46.3°, 1.960 Å, I = 22; 49.4°, 1.846 Å, I = 13; 58.9°, 1.567 Å, I = 36; 62.9°, 1.477 Å, I = 21


Structure and simulated X-ray diffraction stick pattern of Sm2Ho2Sc (DFT lattice parameters and positions (PBE); Cu Kα (λ = 1.5418 Å)).

Crystal structure
abc: 5.578 5.578 17.297
angles: 90.00 90.00 120.00
Fractional coordinates of all 15 atoms:
Sm (0.000, 0.000, 0.107)
Sm (0.000, 0.000, 0.893)
Sm (0.333, 0.667, 0.560)
Sm (0.333, 0.667, 0.774)
Sm (0.667, 0.333, 0.226)
Sm (0.667, 0.333, 0.440)
Ho (0.000, 0.000, 0.311)
Ho (0.000, 0.000, 0.689)
Ho (0.333, 0.667, 0.356)
Ho (0.333, 0.667, 0.977)
Ho (0.667, 0.333, 0.023)
Ho (0.667, 0.333, 0.644)
Sc (0.000, 0.000, 0.500)
Sc (0.333, 0.667, 0.167)
Sc (0.667, 0.333, 0.833)

Top 10 peaks for 2θ from 5° to 70°, low angle first:
21.1°, 4.217 Å, I = 9; 27.7°, 3.222 Å, I = 14; 31.8°, 2.813 Å, I = 95; 32.1°, 2.789 Å, I = 100; 45.8°, 1.980 Å, I = 35; 56.5°, 1.628 Å, I = 15; 57.0°, 1.615 Å, I = 36; 57.2°, 1.610 Å, I = 20; 58.3°, 1.583 Å, I = 9; 67.1°, 1.394 Å, I = 12


Structure and simulated X-ray diffraction stick pattern of SmHo3Sc2 (DFT lattice parameters and positions (PBE); Cu Kα (λ = 1.5418 Å)).

Crystal structure
abc: 11.406 11.406 9.874
angles: 107.72 107.72 17.08
Fractional coordinates of all 12 atoms:
Sm (0.183, 0.183, 0.045)
Sm (0.817, 0.817, 0.955)
Ho (0.060, 0.060, 0.436)
Ho (0.197, 0.197, 0.708)
Ho (0.433, 0.433, 0.230)
Ho (0.567, 0.567, 0.770)
Ho (0.803, 0.803, 0.292)
Ho (0.940, 0.940, 0.564)
Sc (0.192, 0.192, 0.374)
Sc (0.430, 0.430, 0.859)
Sc (0.570, 0.570, 0.141)
Sc (0.808, 0.808, 0.626)

Top 10 peaks for 2θ from 5° to 70°, low angle first:
10.4°, 8.480 Å, I = 81; 21.0°, 4.240 Å, I = 25; 29.2°, 3.062 Å, I = 35; 31.7°, 2.826 Å, I = 71; 31.9°, 2.804 Å, I = 43; 32.1°, 2.786 Å, I = 100; 33.4°, 2.683 Å, I = 63; 33.7°, 2.661 Å, I = 50; 38.3°, 2.349 Å, I = 26; 38.4°, 2.343 Å, I = 22


Structure and simulated X-ray diffraction stick pattern of Sm5Ho3Sc2 (DFT lattice parameters and positions (PBE); Cu Kα (λ = 1.5418 Å)).

Crystal structure
abc: 9.310 9.312 9.321
angles: 106.55 106.82 115.13
Fractional coordinates of all 20 atoms:
Sm (0.022, 0.075, 0.346)
Sm (0.129, 0.379, 0.751)
Sm (0.228, 0.677, 0.154)
Sm (0.378, 0.127, 0.249)
Sm (0.474, 0.428, 0.652)
Sm (0.526, 0.572, 0.348)
Sm (0.622, 0.873, 0.751)
Sm (0.772, 0.323, 0.846)
Sm (0.871, 0.621, 0.249)
Sm (0.978, 0.925, 0.654)
Ho (0.077, 0.228, 0.053)
Ho (0.276, 0.822, 0.848)
Ho (0.323, 0.973, 0.553)
Ho (0.677, 0.027, 0.447)
Ho (0.724, 0.178, 0.152)
Ho (0.923, 0.772, 0.947)
Sc (0.170, 0.524, 0.450)
Sc (0.426, 0.276, 0.949)
Sc (0.574, 0.724, 0.051)
Sc (0.830, 0.476, 0.550)

Top 10 peaks for 2θ from 5° to 70°, low angle first:
19.9°, 4.454 Å, I = 7; 31.1°, 2.876 Å, I = 100; 36.0°, 2.497 Å, I = 17; 36.1°, 2.487 Å, I = 33; 51.9°, 1.762 Å, I = 29; 52.1°, 1.756 Å, I = 6; 61.6°, 1.505 Å, I = 14; 61.8°, 1.502 Å, I = 14; 61.9°, 1.499 Å, I = 14; 64.7°, 1.440 Å, I = 6


Structure and simulated X-ray diffraction stick pattern of Sm5Ho4Sc4 (DFT lattice parameters and positions (PBE); Cu Kα (λ = 1.5418 Å)).

Crystal structure
abc: 9.219 9.219 9.219
angles: 94.09 94.09 149.04
Fractional coordinates of all 13 atoms:
Sm (0.000, 0.000, 0.000)
Sm (0.306, 0.458, 0.764)
Sm (0.458, 0.694, 0.151)
Sm (0.542, 0.306, 0.849)
Sm (0.694, 0.542, 0.236)
Ho (0.078, 0.617, 0.695)
Ho (0.383, 0.078, 0.461)
Ho (0.617, 0.922, 0.539)
Ho (0.922, 0.383, 0.305)
Sc (0.156, 0.233, 0.389)
Sc (0.233, 0.844, 0.078)
Sc (0.767, 0.156, 0.922)
Sc (0.844, 0.767, 0.611)

Top 10 peaks for 2θ from 5° to 70°, low angle first:
14.1°, 6.282 Å, I = 9; 22.4°, 3.973 Å, I = 6; 24.0°, 3.702 Å, I = 7; 28.0°, 3.190 Å, I = 5; 31.5°, 2.844 Å, I = 100; 36.5°, 2.463 Å, I = 51; 43.2°, 2.092 Å, I = 2; 52.5°, 1.742 Å, I = 36; 62.5°, 1.485 Å, I = 42; 65.7°, 1.422 Å, I = 12


Structure and simulated X-ray diffraction stick pattern of Sm3Ho3Sc (DFT lattice parameters and positions (PBE); Cu Kα (λ = 1.5418 Å)).

Crystal structure
abc: 9.471 9.471 5.662
angles: 90.00 90.00 120.00
Fractional coordinates of all 14 atoms:
Sm (0.052, 0.245, 0.250)
Sm (0.193, 0.948, 0.250)
Sm (0.245, 0.193, 0.750)
Sm (0.755, 0.807, 0.250)
Sm (0.807, 0.052, 0.750)
Sm (0.948, 0.755, 0.750)
Ho (0.096, 0.480, 0.750)
Ho (0.384, 0.904, 0.750)
Ho (0.480, 0.384, 0.250)
Ho (0.520, 0.616, 0.750)
Ho (0.616, 0.096, 0.250)
Ho (0.904, 0.520, 0.250)
Sc (0.333, 0.667, 0.250)
Sc (0.667, 0.333, 0.750)

Top 10 peaks for 2θ from 5° to 70°, low angle first:
19.0°, 4.659 Å, I = 5; 28.8°, 3.100 Å, I = 24; 31.6°, 2.831 Å, I = 25; 32.9°, 2.719 Å, I = 100; 43.3°, 2.090 Å, I = 16; 51.0°, 1.790 Å, I = 20; 57.1°, 1.612 Å, I = 21; 61.3°, 1.513 Å, I = 23; 62.1°, 1.495 Å, I = 16; 69.1°, 1.360 Å, I = 4


Structure and simulated X-ray diffraction stick pattern of Sm4Ho10Sc (DFT lattice parameters and positions (PBE); Cu Kα (λ = 1.5418 Å)).

Crystal structure
abc: 8.854 8.854 8.854
angles: 100.80 100.80 128.69
Fractional coordinates of all 15 atoms:
Sm (0.231, 0.231, 0.462)
Sm (0.231, 0.769, 0.000)
Sm (0.769, 0.231, 0.000)
Sm (0.769, 0.769, 0.538)
Ho (0.079, 0.287, 0.792)
Ho (0.250, 0.750, 0.500)
Ho (0.287, 0.079, 0.792)
Ho (0.287, 0.494, 0.208)
Ho (0.494, 0.287, 0.208)
Ho (0.506, 0.713, 0.792)
Ho (0.713, 0.506, 0.792)
Ho (0.713, 0.921, 0.208)
Ho (0.750, 0.250, 0.500)
Ho (0.921, 0.713, 0.208)
Sc (0.000, 0.000, 0.000)

Top 10 peaks for 2θ from 5° to 70°, low angle first:
24.9°, 3.569 Å, I = 38; 28.1°, 3.171 Å, I = 69; 30.9°, 2.898 Å, I = 29; 31.7°, 2.822 Å, I = 100; 32.4°, 2.765 Å, I = 90; 33.7°, 2.660 Å, I = 31; 34.3°, 2.612 Å, I = 34; 41.3°, 2.186 Å, I = 45; 54.3°, 1.689 Å, I = 28; 67.8°, 1.382 Å, I = 39


Structure and simulated X-ray diffraction stick pattern of SmHo12Sc3 (DFT lattice parameters and positions (PBE); Cu Kα (λ = 1.5418 Å)).

Crystal structure
abc: 4.930 4.930 19.665
angles: 90.00 90.00 90.00
Fractional coordinates of all 16 atoms:
Sm (0.000, 0.000, 0.000)
Ho (0.000, 0.500, 0.130)
Ho (0.000, 0.500, 0.377)
Ho (0.000, 0.500, 0.623)
Ho (0.000, 0.500, 0.870)
Ho (0.500, 0.000, 0.130)
Ho (0.500, 0.000, 0.377)
Ho (0.500, 0.000, 0.623)
Ho (0.500, 0.000, 0.870)
Ho (0.500, 0.500, 0.000)
Ho (0.500, 0.500, 0.254)
Ho (0.500, 0.500, 0.500)
Ho (0.500, 0.500, 0.746)
Sc (0.000, 0.000, 0.253)
Sc (0.000, 0.000, 0.500)
Sc (0.000, 0.000, 0.747)

Top 10 peaks for 2θ from 5° to 70°, low angle first:
18.0°, 4.926 Å, I = 8; 25.6°, 3.483 Å, I = 7; 31.5°, 2.844 Å, I = 100; 36.4°, 2.465 Å, I = 34; 36.6°, 2.458 Å, I = 16; 41.0°, 2.203 Å, I = 4; 52.6°, 1.741 Å, I = 35; 62.5°, 1.486 Å, I = 28; 62.6°, 1.483 Å, I = 13; 65.7°, 1.422 Å, I = 12